1.
Starting from a crystal structure in the Materials Project, relaxed with PBE+U, the X-ray diffraction stick pattern of YMg6FeO8 was calculated for CuKα.
Kinematic intensities with the Lorentz-polarization factor, no thermal factor.

Structural model:
```
16
Lattice="4.422 0.000 0.000 0.000 4.422 0.000 0.000 0.000 8.862" Properties=species:S:1:pos:R:3 pbc="T T T"
Y 0.000 0.000 0.000
Mg 0.000 0.000 4.431
Mg 0.000 2.211 2.336
Mg 0.000 2.211 6.525
Mg 2.211 0.000 2.336
Mg 2.211 0.000 6.525
Mg 2.211 2.211 4.431
Fe 2.211 2.211 0.000
O 0.000 0.000 2.328
O 0.000 0.000 6.534
O 0.000 2.211 0.000
O 0.000 2.211 4.431
O 2.211 0.000 0.000
O 2.211 0.000 4.431
O 2.211 2.211 2.316
O 2.211 2.211 6.546
```

Main lines, by angle (5 to 70 degrees two-theta):
2θ (°)  intensity
9.98  38
20.05  14
28.54  11
30.29  25
35.13  32
40.79  100
42.10  10
59.05  58

***

2.
Starting from a crystal structure in the Materials Project, relaxed with PBE+U, the X-ray diffraction stick pattern of YMg6FeO8 was calculated for CuKα.
Kinematic intensities with the Lorentz-polarization factor, no thermal factor.

Structural model:
```
16
Lattice="4.399 0.000 0.000 0.000 4.399 0.000 0.000 0.000 8.981" Properties=species:S:1:pos:R:3 pbc="T T T"
Y 0.000 0.000 0.000
Mg 0.000 2.200 2.449
Mg 0.000 2.200 6.533
Mg 2.200 0.000 2.449
Mg 2.200 0.000 6.533
Mg 2.200 2.200 0.000
Mg 2.200 2.200 4.491
Fe 0.000 0.000 4.491
O 0.000 0.000 2.214
O 0.000 0.000 6.768
O 0.000 2.200 0.000
O 0.000 2.200 4.491
O 2.200 0.000 0.000
O 2.200 0.000 4.491
O 2.200 2.200 2.259
O 2.200 2.200 6.723
```

Main lines, by angle (5 to 70 degrees two-theta):
2θ (°)  intensity
19.77  19
20.19  34
28.40  29
35.09  47
40.16  49
41.03  100
58.76  56
59.43  33

***

3.
Starting from a crystal structure in the Materials Project, relaxed with PBE+U, the X-ray diffraction stick pattern of Mg6ZnFeO8 was calculated for CuKα.
Kinematic intensities with the Lorentz-polarization factor, no thermal factor.

Structural model:
```
16
Lattice="4.266 0.000 0.000 0.000 4.266 0.000 0.000 0.000 8.628" Properties=species:S:1:pos:R:3 pbc="T T T"
Mg 0.000 0.000 0.000
Mg 0.000 0.000 4.314
Mg 0.000 2.133 2.144
Mg 0.000 2.133 6.485
Mg 2.133 0.000 2.144
Mg 2.133 0.000 6.485
Zn 2.133 2.133 0.000
Fe 2.133 2.133 4.314
O 0.000 0.000 2.165
O 0.000 0.000 6.463
O 0.000 2.133 0.000
O 0.000 2.133 4.314
O 2.133 0.000 0.000
O 2.133 0.000 4.314
O 2.133 2.133 2.126
O 2.133 2.133 6.502
```

Main lines, by angle (5 to 70 degrees two-theta):
2θ (°)  intensity
20.59  12
20.82  24
29.45  21
36.34  43
41.88  52
42.38  100
61.10  58
61.48  29

***

4.
Starting from a crystal structure in the Materials Project, relaxed with PBE+U, the X-ray diffraction stick pattern of MgZnFe4O8 was calculated for CuKα.
Kinematic intensities with the Lorentz-polarization factor, no thermal factor.

Structural model:
```
14
Lattice="2.998 1.731 4.944 -2.998 1.731 4.944 0.000 -3.462 4.944" Properties=species:S:1:pos:R:3 pbc="T T T"
Mg 0.000 0.000 0.000
Zn 0.000 0.000 5.573
Fe 0.000 1.754 12.320
Fe 1.519 -0.877 12.320
Fe -1.519 -0.877 12.320
Fe 0.000 0.000 9.201
O -1.556 -0.898 8.583
O 0.000 0.000 3.553
O 0.000 -1.861 6.246
O -1.611 0.930 6.246
O 1.556 -0.898 8.583
O 0.000 1.797 8.583
O 0.000 0.000 11.221
O 1.611 0.930 6.246
```

Main lines, by angle (5 to 70 degrees two-theta):
2θ (°)  intensity
29.60  37
34.83  29
35.04  100
42.50  19
56.02  14
56.19  17
61.45  29
61.89  28

***

5.
Starting from a crystal structure in the Materials Project, relaxed with PBE+U, the X-ray diffraction stick pattern of MgZn2Fe2O6 was calculated for CuKα.
Kinematic intensities with the Lorentz-polarization factor, no thermal factor.

Structural model:
```
11
Lattice="2.609 1.506 4.981 -2.609 1.506 4.981 0.000 -3.013 4.981" Properties=species:S:1:pos:R:3 pbc="T T T"
Mg 0.000 0.000 0.000
Zn 0.000 0.000 9.607
Zn 0.000 0.000 12.140
Fe 0.000 0.000 4.140
Fe 0.000 0.000 6.955
O -0.841 -1.334 5.714
O -1.686 -0.051 8.297
O -0.735 1.396 5.714
O 0.887 -1.435 8.297
O 1.576 -0.061 5.714
O 0.799 1.485 8.297
```

Main lines, by angle (5 to 70 degrees two-theta):
2θ (°)  intensity
20.53  41
23.00  12
34.37  90
36.04  57
38.97  16
50.67  100
61.56  35
62.64  19

***

6.
Starting from a crystal structure in the Materials Project, relaxed with PBE+U, the X-ray diffraction stick pattern of MgZn2Fe2O6 was calculated for CuKα.
Kinematic intensities with the Lorentz-polarization factor, no thermal factor.

Structural model:
```
11
Lattice="2.586 1.493 5.036 -2.586 1.493 5.036 0.000 -2.986 5.036" Properties=species:S:1:pos:R:3 pbc="T T T"
Mg 0.000 0.000 0.000
Zn 0.000 0.000 2.605
Zn 0.000 0.000 12.503
Fe 0.000 0.000 5.394
Fe 0.000 0.000 9.714
O -0.937 -1.546 6.181
O -1.808 0.038 8.927
O -0.871 1.585 6.181
O 0.871 -1.585 8.927
O 1.808 -0.038 6.181
O 0.937 1.546 8.927
```

Main lines, by angle (5 to 70 degrees two-theta):
2θ (°)  intensity
23.09  38
30.97  39
34.69  100
35.85  32
39.16  18
47.18  15
50.60  92
62.17  39

***

7.
Starting from a crystal structure in the Materials Project, relaxed with PBE+U, the X-ray diffraction stick pattern of Mg6ZnFeO8 was calculated for CuKα.
Kinematic intensities with the Lorentz-polarization factor, no thermal factor.

Structural model:
```
16
Lattice="4.275 0.000 0.000 0.000 4.275 0.000 0.000 0.000 8.606" Properties=species:S:1:pos:R:3 pbc="T T T"
Mg 0.000 0.000 0.000
Mg 0.000 2.138 2.145
Mg 0.000 2.138 6.461
Mg 2.138 0.000 2.145
Mg 2.138 0.000 6.461
Mg 2.138 2.138 0.000
Zn 0.000 0.000 4.303
Fe 2.138 2.138 4.303
O 0.000 0.000 2.133
O 0.000 0.000 6.473
O 0.000 2.138 0.000
O 0.000 2.138 4.303
O 2.138 0.000 0.000
O 2.138 0.000 4.303
O 2.138 2.138 2.100
O 2.138 2.138 6.506
```

Main lines, by angle (5 to 70 degrees two-theta):
2θ (°)  intensity
10.28  52
20.64  12
31.36  17
36.32  43
42.00  51
42.28  100
61.12  58
61.33  29

***

8.
Starting from a crystal structure in the Materials Project, relaxed with PBE+U, the X-ray diffraction stick pattern of MgZnFe4O8 was calculated for CuKα.
Kinematic intensities with the Lorentz-polarization factor, no thermal factor.

Structural model:
```
14
Lattice="7.495 -1.493 0.000 7.495 1.493 0.000 -5.809 0.000 7.318" Properties=species:S:1:pos:R:3 pbc="T T T"
Mg 0.000 0.000 0.000
Zn 5.956 0.000 4.378
Fe -3.092 0.000 7.188
Fe 3.242 0.000 4.522
Fe 8.269 0.000 2.616
Fe 12.685 0.000 1.759
O -2.730 0.000 5.212
O -0.464 0.000 3.411
O 1.433 0.000 1.490
O 4.483 0.000 2.867
O 6.416 0.000 0.935
O 2.875 0.000 6.499
O 11.374 0.000 0.313
O 9.561 0.000 4.081
```

Main lines, by angle (5 to 70 degrees two-theta):
2θ (°)  intensity
12.11  67
15.09  80
29.68  69
30.46  61
35.06  100
36.88  44
42.75  45
50.20  58

***

9.
Starting from a crystal structure in the Materials Project, relaxed with PBE+U, the X-ray diffraction stick pattern of MgZnFe4O8 was calculated for CuKα.
Kinematic intensities with the Lorentz-polarization factor, no thermal factor.

Structural model:
```
14
Lattice="2.971 0.000 0.000 1.460 8.092 0.000 1.469 3.183 7.594" Properties=species:S:1:pos:R:3 pbc="T T T"
Mg 0.000 0.000 0.000
Zn 2.983 3.561 0.847
Fe 1.475 2.856 4.415
Fe 2.961 5.758 5.891
Fe 4.427 8.533 6.043
Fe 2.965 1.254 2.263
O 2.934 9.924 6.244
O 1.475 2.787 2.257
O 2.968 7.618 7.331
O 2.944 8.263 1.396
O 2.960 4.054 4.840
O 4.420 9.483 4.130
O 4.447 6.834 5.121
O 4.445 5.101 7.182
```

Main lines, by angle (5 to 70 degrees two-theta):
2θ (°)  intensity
11.65  37
11.86  48
13.03  100
30.50  23
34.29  35
34.48  18
36.10  23
42.74  18

***

10.
Starting from a crystal structure in the Materials Project, relaxed with PBE+U, the X-ray diffraction stick pattern of MgZnFe4O8 was calculated for CuKα.
Kinematic intensities with the Lorentz-polarization factor, no thermal factor.

Structural model:
```
14
Lattice="7.596 -1.492 0.000 7.596 1.492 0.000 -6.294 0.000 7.698" Properties=species:S:1:pos:R:3 pbc="T T T"
Mg 0.000 0.000 0.000
Zn 10.225 0.000 2.037
Fe -3.799 0.000 6.910
Fe 0.929 0.000 5.072
Fe 7.498 0.000 2.645
Fe 12.570 0.000 0.157
O -1.009 0.000 1.766
O 1.524 0.000 3.036
O 3.844 0.000 1.075
O -0.088 0.000 7.126
O 8.976 0.000 0.413
O 4.911 0.000 6.426
O 7.334 0.000 4.511
O 9.710 0.000 5.804
```

Main lines, by angle (5 to 70 degrees two-theta):
2θ (°)  intensity
11.49  100
11.82  75
15.07  89
17.85  50
34.79  83
35.00  79
43.92  43
48.46  48

***

11.
Starting from a crystal structure in the Materials Project, relaxed with PBE+U, the X-ray diffraction stick pattern of MgZn2Fe2O6 was calculated for CuKα.
Kinematic intensities with the Lorentz-polarization factor, no thermal factor.

Structural model:
```
11
Lattice="2.621 1.513 5.070 -2.621 1.513 5.070 0.000 -3.026 5.070" Properties=species:S:1:pos:R:3 pbc="T T T"
Mg 0.000 0.000 0.000
Zn 0.000 0.000 6.043
Zn 0.000 0.000 9.166
Fe 0.000 0.000 2.762
Fe 0.000 0.000 12.447
O -0.897 -1.690 6.402
O -1.912 -0.068 8.807
O -1.015 1.622 6.402
O 1.015 -1.622 8.807
O 1.912 0.068 6.402
O 0.897 1.690 8.807
```

Main lines, by angle (5 to 70 degrees two-theta):
2θ (°)  intensity
30.67  29
34.21  97
35.52  100
38.67  18
50.14  49
61.25  37
62.11  40
65.75  18

***

12.
Starting from a crystal structure in the Materials Project, relaxed with PBE+U, the X-ray diffraction stick pattern of MgZn4Fe4O10 was calculated for CuKα.
Kinematic intensities with the Lorentz-polarization factor, no thermal factor.

Structural model:
```
19
Lattice="8.082 0.000 0.000 0.000 3.186 0.000 -0.051 0.000 10.343" Properties=species:S:1:pos:R:3 pbc="T T T"
Mg 0.000 0.000 0.000
Zn 0.197 0.000 4.890
Zn 1.546 0.000 2.340
Zn 4.288 0.000 7.350
Zn 5.342 0.000 10.087
Fe 2.377 1.593 9.630
Fe 3.352 1.593 4.554
Fe 6.410 1.593 2.594
Fe 7.268 1.593 7.631
O 0.456 1.593 9.117
O 1.463 1.593 1.182
O 2.177 0.000 4.201
O 3.583 0.000 9.311
O 3.792 1.593 6.393
O 4.696 1.593 3.328
O 6.187 0.000 8.139
O 6.383 1.593 0.561
O 7.532 0.000 2.942
O 7.797 1.593 5.809
```

Main lines, by angle (5 to 70 degrees two-theta):
2θ (°)  intensity
13.89  48
23.64  88
31.40  100
34.69  35
34.89  74
35.89  36
37.57  32
37.73  30